Record 1
Simulated PXRD pattern
Compound: Ba8CuSi16
Radiation: a wavelength of 1.5418 Å
Structure: DFT lattice parameters and positions (PBE)

Structure:
Cell: 6.8518 9.0430 11.9657 Å, 89.09 89.16 85.80°
Positions (direct):
Ba: 0.0000 0.0000 0.0000
Ba: 0.0105 0.2982 0.2672
Ba: 0.0508 0.7811 0.3586
Ba: 0.4146 0.2604 0.8551
Ba: 0.4489 0.1187 0.4781
Ba: 0.4723 0.7814 0.7838
Ba: 0.5290 0.6360 0.1531
Ba: 0.9210 0.4542 0.6508
Cu: 0.7481 0.8399 0.5684
Si: 0.0265 0.6162 0.1109
Si: 0.0589 0.8555 0.6345
Si: 0.1043 0.0912 0.7078
Si: 0.2031 0.5787 0.9394
Si: 0.3362 0.0073 0.2206
Si: 0.3852 0.4882 0.4102
Si: 0.4197 0.4777 0.6051
Si: 0.5076 0.2210 0.1545
Si: 0.5108 0.9919 0.0449
Si: 0.5444 0.6793 0.4970
Si: 0.6880 0.9940 0.2191
Si: 0.6979 0.4932 0.8950
Si: 0.7668 0.0466 0.6933
Si: 0.8695 0.6965 0.9323
Si: 0.9570 0.0870 0.5233
Si: 0.9746 0.3973 0.9980

Main lines, in order of falling intensity (10 to 80 degrees two-theta):
3.421 Å, 2θ 26.05, intensity 100; 3.484 Å, 2θ 25.57, intensity 51; 3.465 Å, 2θ 25.71, intensity 38; 3.627 Å, 2θ 24.55, intensity 31; 2.851 Å, 2θ 31.38, intensity 26; 3.953 Å, 2θ 22.49, intensity 22; 2.905 Å, 2θ 30.78, intensity 22; 3.728 Å, 2θ 23.87, intensity 21; 2.409 Å, 2θ 37.32, intensity 21; 3.683 Å, 2θ 24.17, intensity 20


Record 2
Simulated PXRD pattern
Compound: Ba8CuSi16
Radiation: a wavelength of 1.5418 Å
Structure: DFT lattice parameters and positions (PBE)

Structure:
Cell: 6.6654 9.6729 11.4572 Å, 87.55 87.89 84.85°
Positions (direct):
Ba: 0.0000 0.0000 0.0000
Ba: 0.0156 0.6612 0.7244
Ba: 0.0355 0.4705 0.1288
Ba: 0.4182 0.9603 0.6192
Ba: 0.4819 0.8402 0.2236
Ba: 0.5000 0.4953 0.4589
Ba: 0.5286 0.3344 0.8885
Ba: 0.9397 0.1288 0.3990
Cu: 0.5238 0.5364 0.1125
Si: 0.0352 0.3178 0.8404
Si: 0.1482 0.7858 0.4520
Si: 0.2224 0.2922 0.6524
Si: 0.3168 0.1703 0.1540
Si: 0.3232 0.6897 0.9765
Si: 0.4380 0.1657 0.3394
Si: 0.4978 0.8922 0.9162
Si: 0.5148 0.6827 0.7948
Si: 0.5914 0.3121 0.1919
Si: 0.6364 0.2225 0.6220
Si: 0.6998 0.6811 0.9710
Si: 0.7861 0.7978 0.4546
Si: 0.8625 0.3851 0.6561
Si: 0.9562 0.1318 0.7160
Si: 0.9790 0.8022 0.2693
Si: 0.9809 0.5894 0.3964

Main lines, in order of falling intensity (10 to 80 degrees two-theta):
3.317 Å, 2θ 26.88, intensity 100; 3.938 Å, 2θ 22.58, intensity 61; 3.762 Å, 2θ 23.65, intensity 55; 3.058 Å, 2θ 29.20, intensity 51; 3.121 Å, 2θ 28.60, intensity 50; 2.407 Å, 2θ 37.35, intensity 44; 3.049 Å, 2θ 29.29, intensity 42; 3.355 Å, 2θ 26.57, intensity 41; 2.341 Å, 2θ 38.45, intensity 40; 3.877 Å, 2θ 22.94, intensity 39


Record 3
Simulated PXRD pattern
Compound: Ba8CuSi16
Radiation: a wavelength of 1.5418 Å
Structure: DFT lattice parameters and positions (PBE)

Structure:
Cell: 6.9336 9.2222 11.6624 Å, 89.22 87.59 84.61°
Positions (direct):
Ba: 0.0000 0.0000 0.0000
Ba: 0.0065 0.4524 0.6915
Ba: 0.0184 0.6548 0.2831
Ba: 0.4621 0.3031 0.1764
Ba: 0.5087 0.6447 0.8997
Ba: 0.5167 0.1621 0.7960
Ba: 0.5303 0.8866 0.4930
Ba: 0.9305 0.1358 0.3852
Cu: 0.2841 0.6812 0.6149
Si: 0.0112 0.8452 0.5660
Si: 0.1152 0.4396 0.9815
Si: 0.1856 0.8611 0.7515
Si: 0.2035 0.3650 0.4200
Si: 0.3086 0.9630 0.2325
Si: 0.3910 0.5556 0.4464
Si: 0.4896 0.9535 0.0502
Si: 0.4909 0.7366 0.1806
Si: 0.4985 0.2864 0.5137
Si: 0.5335 0.4865 0.6429
Si: 0.6627 0.9443 0.2233
Si: 0.7249 0.4718 0.4613
Si: 0.8176 0.3375 0.9468
Si: 0.8348 0.8539 0.7491
Si: 0.9512 0.3329 0.1331
Si: 0.9903 0.0698 0.6798

Main lines, in order of falling intensity (10 to 80 degrees two-theta):
3.447 Å, 2θ 25.85, intensity 100; 3.744 Å, 2θ 23.76, intensity 41; 3.512 Å, 2θ 25.36, intensity 33; 3.327 Å, 2θ 26.80, intensity 31; 3.484 Å, 2θ 25.57, intensity 27; 3.623 Å, 2θ 24.57, intensity 26; 2.839 Å, 2θ 31.51, intensity 21; 2.084 Å, 2θ 43.42, intensity 19; 2.392 Å, 2θ 37.60, intensity 19; 2.632 Å, 2θ 34.07, intensity 19


Record 4
Simulated PXRD pattern
Compound: BaTbCuSi3
Radiation: a wavelength of 1.5418 Å
Structure: DFT lattice parameters and positions (PBE)

Structure:
Cell: 8.5275 8.3450 6.0155 Å, 70.75 67.50 41.76°
Positions (direct):
Ba: 0.2500 0.2500 0.2500
Ba: 0.7500 0.7500 0.7500
Tb: 0.2387 0.7613 0.2387
Tb: 0.7613 0.2387 0.7613
Cu: 0.3381 0.3381 0.6619
Cu: 0.6619 0.6619 0.3381
Si: 0.1582 0.1582 0.8418
Si: 0.1764 0.6647 0.8236
Si: 0.3353 0.8236 0.6647
Si: 0.6647 0.1764 0.3353
Si: 0.8236 0.3353 0.1764
Si: 0.8418 0.8418 0.1582

Main lines, in order of falling intensity (10 to 80 degrees two-theta):
2.772 Å, 2θ 32.30, intensity 100; 2.814 Å, 2θ 31.80, intensity 55; 3.552 Å, 2θ 25.07, intensity 33; 2.085 Å, 2θ 43.39, intensity 33; 1.519 Å, 2θ 61.02, intensity 23; 1.649 Å, 2θ 55.76, intensity 22; 2.215 Å, 2θ 40.73, intensity 19; 3.643 Å, 2θ 24.43, intensity 16; 2.034 Å, 2θ 44.54, intensity 15; 1.498 Å, 2θ 61.93, intensity 11


Record 5
Simulated PXRD pattern
Compound: BaYCuSi3
Radiation: a wavelength of 1.5418 Å
Structure: DFT lattice parameters and positions (PBE)

Structure:
Cell: 8.3924 8.1887 6.1195 Å, 70.13 66.58 43.29°
Positions (direct):
Ba: 0.2474 0.7526 0.2474
Ba: 0.7526 0.2474 0.7526
Y: 0.2500 0.2500 0.2500
Y: 0.7500 0.7500 0.7500
Cu: 0.3308 0.3308 0.6692
Cu: 0.6692 0.6692 0.3308
Si: 0.1622 0.6579 0.8378
Si: 0.1722 0.1722 0.8278
Si: 0.3421 0.8378 0.6579
Si: 0.6579 0.1622 0.3421
Si: 0.8278 0.8278 0.1722
Si: 0.8378 0.3421 0.1622

Main lines, in order of falling intensity (10 to 80 degrees two-theta):
2.799 Å, 2θ 31.98, intensity 100; 2.785 Å, 2θ 32.14, intensity 50; 2.047 Å, 2θ 44.25, intensity 31; 1.517 Å, 2θ 61.09, intensity 23; 3.565 Å, 2θ 24.98, intensity 22; 2.259 Å, 2θ 39.91, intensity 21; 1.658 Å, 2θ 55.42, intensity 20; 1.387 Å, 2θ 67.55, intensity 16; 2.064 Å, 2θ 43.87, intensity 16; 1.524 Å, 2θ 60.79, intensity 12


Record 6
Simulated PXRD pattern
Compound: BaCu9Sn4
Radiation: a wavelength of 1.5418 Å
Structure: DFT lattice parameters and positions (PBE)

Structure:
Cell: 8.8117 8.8117 8.8117 Å, 120.56 120.56 89.04°
Positions (direct):
Ba: 0.2500 0.2500 0.0000
Ba: 0.7500 0.7500 0.0000
Cu: 0.0000 0.5000 0.5000
Cu: 0.0555 0.7969 0.8524
Cu: 0.0652 0.5652 0.2829
Cu: 0.2031 0.0555 0.2586
Cu: 0.2177 0.9348 0.5000
Cu: 0.2823 0.7823 0.7171
Cu: 0.2969 0.5555 0.8524
Cu: 0.4348 0.7177 0.5000
Cu: 0.4445 0.2969 0.7414
Cu: 0.5000 0.0000 0.5000
Cu: 0.5555 0.7031 0.2586
Cu: 0.5652 0.2823 0.5000
Cu: 0.7031 0.4445 0.1476
Cu: 0.7177 0.2177 0.2829
Cu: 0.7823 0.0652 0.5000
Cu: 0.7969 0.9445 0.7414
Cu: 0.9348 0.4348 0.7171
Cu: 0.9445 0.2031 0.1476
Sn: 0.0592 0.1909 0.5000
Sn: 0.1909 0.6909 0.1317
Sn: 0.3091 0.4408 0.5000
Sn: 0.4408 0.9408 0.1317
Sn: 0.5592 0.0592 0.8683
Sn: 0.6909 0.5592 0.5000
Sn: 0.8091 0.3091 0.8683
Sn: 0.9408 0.8091 0.5000

Main lines, in order of falling intensity (10 to 80 degrees two-theta):
2.090 Å, 2θ 43.30, intensity 100; 2.097 Å, 2θ 43.14, intensity 83; 2.551 Å, 2θ 35.19, intensity 83; 2.529 Å, 2θ 35.49, intensity 73; 2.114 Å, 2θ 42.78, intensity 63; 2.800 Å, 2θ 31.96, intensity 32; 2.060 Å, 2θ 43.95, intensity 30; 2.763 Å, 2θ 32.40, intensity 29; 2.772 Å, 2θ 32.29, intensity 25; 1.370 Å, 2θ 68.50, intensity 24